[1]
Calculated powder X-ray diffraction pattern of CdHgAs2O6 for Cu Kα X-rays, from a GGA-PBE-relaxed structure.
Kinematic intensities with the Lorentz-polarization factor, no thermal factor.

Structure:
abc: 10.974 8.853 7.094
angles: 90.00 116.74 90.00
Space group C2/c (No. 15)
Inequivalent atoms, fractional coordinates:
1 Cd 0.000 0.226 0.250
2 Hg 0.000 0.373 0.750
3 As 0.202 0.061 0.692
4 O 0.120 0.411 0.179
5 O 0.127 0.242 0.627
6 O 0.155 0.014 0.397

Main lines, by angle (2θ from 5° to 70°):
2θ/deg	I/Imax	(hkl)
18.1	29	2 0 0
26.5	100	2 2 -1
27.1	35	2 2 0
28.2	67	0 0 2
29.1	40	3 1 0
34.3	30	2 2 1
34.8	34	4 0 -2
43.4	39	2 2 -3

=====

[2]
Calculated powder X-ray diffraction pattern of SmDy2Y6Sc for Cu Kα X-rays, from a GGA-PBE-relaxed structure.
Kinematic intensities with the Lorentz-polarization factor, no thermal factor.

Structure:
abc: 9.252 15.792 8.742
angles: 90.00 92.25 90.00
Space group C2/c (No. 15)
Inequivalent atoms, fractional coordinates:
1 Sm 0.000 0.033 0.250
2 Dy 0.234 0.446 0.444
3 Y 0.038 0.170 0.948
4 Y 0.104 0.370 0.091
5 Y 0.246 0.294 0.707
6 Sc 0.000 0.444 0.750

Main lines, by angle (2θ from 5° to 70°):
2θ/deg	I/Imax	(hkl)
21.8	40	1 3 -1
28.5	65	1 3 2
29.8	87	2 2 -2
30.9	100	2 2 2
31.3	46	2 4 -1
31.5	50	1 5 -1
31.7	86	2 4 1
32.8	77	0 2 3

=====

[3]
Calculated powder X-ray diffraction pattern of CaHo3Pd4 for Cu Kα X-rays, from a GGA-PBE-relaxed structure.
Kinematic intensities with the Lorentz-polarization factor, no thermal factor.

Structure:
abc: 4.984 4.984 6.896
angles: 90.00 90.00 90.00
Space group P4/mmm (No. 123)
Inequivalent atoms, fractional coordinates:
1 Ca 0.000 0.000 0.000
2 Ho 0.000 0.000 0.500
3 Ho 0.500 0.500 0.000
4 Ho 0.500 0.500 0.500
5 Pd 0.000 0.500 0.261

Main lines, by angle (2θ from 5° to 70°):
2θ/deg	I/Imax	(hkl)
12.8	7	0 0 1
22.0	6	1 0 1
36.0	52	2 0 0
36.5	100	1 1 2
51.9	18	2 2 0
53.1	8	0 0 4
65.1	36	3 1 2
65.9	17	2 0 4

=====

[4]
Calculated powder X-ray diffraction pattern of ScZn3Pt4 for Cu Kα X-rays, from a GGA-PBE-relaxed structure.
Kinematic intensities with the Lorentz-polarization factor, no thermal factor.

Structure:
abc: 9.146 5.767 4.674
angles: 90.00 90.00 90.00
Space group Pmma (No. 51)
Inequivalent atoms, fractional coordinates:
1 Sc 0.000 0.000 0.000
2 Zn 0.000 0.500 0.000
3 Zn 0.250 0.000 0.415
4 Zn 0.250 0.500 0.403
5 Pt 0.000 0.256 0.500
6 Pt 0.250 0.259 0.902

Main lines, by angle (2θ from 5° to 70°):
2θ/deg	I/Imax	(hkl)
27.3	37	2 0 1
31.0	16	0 2 0
38.0	13	1 2 1
38.5	17	0 0 2
39.4	36	4 0 0
39.8	16	1 0 2
41.8	100	2 2 1
64.7	12	0 4 0

=====

[5]
Calculated powder X-ray diffraction pattern of PrDyHoAg for Cu Kα X-rays, from a GGA-PBE-relaxed structure.
Kinematic intensities with the Lorentz-polarization factor, no thermal factor.

Structure:
abc: 3.634 3.634 8.769
angles: 90.00 90.00 90.00
Space group P4mm (No. 99)
Inequivalent atoms, fractional coordinates:
1 Pr 0.000 0.000 0.000
2 Dy 0.500 0.500 0.705
3 Ho 0.500 0.500 0.294
4 Ag 0.000 0.000 0.497

Main lines, by angle (2θ from 5° to 70°):
2θ/deg	I/Imax	(hkl)
32.0	100	1 0 2
34.9	47	1 1 0
39.6	9	1 0 3
47.1	9	1 1 3
50.2	17	2 0 0
55.1	12	1 1 4
58.4	8	1 0 5
60.8	31	2 1 2

=====

[6]
Calculated powder X-ray diffraction pattern of Na4InHg12 for Cu Kα X-rays, from a GGA-PBE-relaxed structure.
Kinematic intensities with the Lorentz-polarization factor, no thermal factor.

Structure:
abc: 9.729 9.729 9.729
angles: 90.00 90.00 90.00
Space group Im-3m (No. 229)
Inequivalent atoms, fractional coordinates:
1 Na 0.250 0.250 0.250
2 In 0.000 0.000 0.000
3 Hg 0.000 0.000 0.299
4 Hg 0.000 0.250 0.500

Main lines, by angle (2θ from 5° to 70°):
2θ/deg	I/Imax	(hkl)
18.2	48	2 0 0
31.9	100	2 2 2
34.5	16	3 2 1
37.0	60	4 0 0
39.3	16	3 3 0
43.6	19	3 3 2
53.3	33	4 4 0
63.4	27	6 2 2